Simulated powder diffraction line list of LiSbMo2O8 for Cu Kα X-rays, from the PBE+U geometry in Alexandria.
Intensities are scaled so that the largest is 100.

Crystal structure
Cell: 22.194 5.001 5.644 Å, 90.00 100.53 90.00°
Space group C2/c (No. 15)
Asymmetric unit:
Li: 0.250 0.250 0.000 [4 per cell]
Sb: 0.000 0.188 0.750 [4 per cell]
Mo: 0.138 0.254 0.272 [8 per cell]
O: 0.052 0.090 0.116 [8 per cell]
O: 0.104 0.464 0.475 [8 per cell]
O: 0.160 0.038 0.958 [8 per cell]
O: 0.209 0.409 0.277 [8 per cell]

Most intense lines, 2θ = 10–90°, by angle:
index  d/Å  two_theta  Rel. int.
6 0 0  3.637  24.48  30.5
3 1 -1  3.486  25.56  100.0
3 1 1  3.156  28.28  90.8
5 1 -1  3.017  29.61  39.7
0 0 2  2.775  32.26  27.1
8 0 0  2.727  32.84  21.7
0 2 2  1.857  49.04  21.0
11 1 -1  1.845  49.40  33.6